For KFe2CCl, DFT lattice parameters and positions (GGA-PBE) gives the simulated powder X-ray diffraction pattern in this record (Cu Kα (weighted mean of Kα1 and Kα2)).

Cell and atoms:
a = 3.8403 Å, b = 3.8403 Å, c = 7.5728 Å
α = 90.00°, β = 90.00°, γ = 90.00°
Atoms (fractional coordinates):
K 0.0000 0.0000 0.0000
Fe 0.0000 0.5000 0.5000
Fe 0.5000 0.0000 0.5000
C 0.0000 0.0000 0.5000
Cl 0.5000 0.5000 0.0000

Peak list (12 most intense, 10 to 90 degrees two-theta, by angle)
two_theta  d_spacing  I (rel.)  hkl
11.7  7.573  29  0 0 1
23.5  3.786  95  0 0 2
35.1  2.556  100  1 1 1
47.3  1.920  24  2 0 0
48.1  1.893  12  0 0 4
49.3  1.849  35  1 1 3
53.5  1.713  33  2 0 2
69.8  1.348  13  2 0 4
71.3  1.323  11  1 1 5
74.2  1.278  11  2 2 2
80.0  1.199  15  3 1 1
89.6  1.094  11  3 1 3



For CaLa4Pm7, DFT lattice parameters and positions (GGA-PBE) gives the simulated powder X-ray diffraction pattern in this record (Cu Kα (weighted mean of Kα1 and Kα2)).

Cell and atoms:
a = 6.4563 Å, b = 7.4130 Å, c = 9.2729 Å
α = 89.73°, β = 76.46°, γ = 89.96°
Atoms (fractional coordinates):
Ca 0.0000 0.0000 0.0000
La 0.2182 0.5007 0.3266
La 0.2859 0.2548 0.6651
La 0.7141 0.7452 0.3349
La 0.7818 0.4993 0.6734
Pm 0.0000 0.5000 0.0000
Pm 0.2246 0.0003 0.3391
Pm 0.2823 0.7474 0.6683
Pm 0.4985 0.7465 0.9993
Pm 0.5015 0.2535 0.0007
Pm 0.7177 0.2526 0.3317
Pm 0.7754 0.9997 0.6609

Peak list (12 most intense, 10 to 90 degrees two-theta, by angle)
two_theta  d_spacing  I (rel.)  hkl
28.0  3.192  36  1 2 0
28.5  3.135  23  1 2 1
29.7  3.005  81  0 0 3
30.7  2.916  54  2 0 2
30.8  2.902  100  -1 2 1
32.3  2.770  91  2 0 -1
32.4  2.759  43  1 -2 2
48.9  1.861  40  3 -2 1
49.2  1.853  20  0 4 0
52.3  1.750  24  2 0 5
55.5  1.655  19  2 0 -4
58.3  1.582  35  -3 2 2



Repeat the second record exactly.
For CaLa4Pm7, DFT lattice parameters and positions (GGA-PBE) gives the simulated powder X-ray diffraction pattern in this record (Cu Kα (weighted mean of Kα1 and Kα2)).

Cell and atoms:
a = 6.4563 Å, b = 7.4130 Å, c = 9.2729 Å
α = 89.73°, β = 76.46°, γ = 89.96°
Atoms (fractional coordinates):
Ca 0.0000 0.0000 0.0000
La 0.2182 0.5007 0.3266
La 0.2859 0.2548 0.6651
La 0.7141 0.7452 0.3349
La 0.7818 0.4993 0.6734
Pm 0.0000 0.5000 0.0000
Pm 0.2246 0.0003 0.3391
Pm 0.2823 0.7474 0.6683
Pm 0.4985 0.7465 0.9993
Pm 0.5015 0.2535 0.0007
Pm 0.7177 0.2526 0.3317
Pm 0.7754 0.9997 0.6609

Peak list (12 most intense, 10 to 90 degrees two-theta, by angle)
two_theta  d_spacing  I (rel.)  hkl
28.0  3.192  36  1 2 0
28.5  3.135  23  1 2 1
29.7  3.005  81  0 0 3
30.7  2.916  54  2 0 2
30.8  2.902  100  -1 2 1
32.3  2.770  91  2 0 -1
32.4  2.759  43  1 -2 2
48.9  1.861  40  3 -2 1
49.2  1.853  20  0 4 0
52.3  1.750  24  2 0 5
55.5  1.655  19  2 0 -4
58.3  1.582  35  -3 2 2